Simulated X-ray diffraction stick pattern
Compound: NdTa3O9
Radiation: CuKα
Structure: a structure optimized by DFT (GGA-PBE)
Neutral-atom scattering factors, no anomalous dispersion.

Principal peaks in the range 15 to 90 degrees two-theta, by angle:
d (Å)	2θ/deg	Rel. int.
3.982	22.3	29.8
3.947	22.5	32.5
3.939	22.6	30.5
2.802	31.9	100.0
2.788	32.1	50.7
1.991	45.6	14.8
1.971	46.0	30.8
1.613	57.1	30.4

Structural model:
abc: 5.575 8.811 8.890
angles: 101.60 108.23 108.33
Fractional coordinates of all 26 atoms:
Nd  0.179  0.339  0.499
Nd  0.821  0.661  0.501
Ta  0.166  0.082  0.750
Ta  0.166  0.587  0.241
Ta  0.487  0.239  0.234
Ta  0.513  0.761  0.766
Ta  0.834  0.413  0.759
Ta  0.834  0.918  0.250
O  0.000  0.000  0.500
O  0.000  0.500  0.000
O  0.005  0.254  0.726
O  0.138  0.567  0.705
O  0.176  0.085  0.258
O  0.284  0.890  0.720
O  0.327  0.412  0.248
O  0.353  0.164  0.996
O  0.373  0.643  0.500
O  0.488  0.249  0.735
O  0.512  0.751  0.265
O  0.627  0.357  0.500
O  0.647  0.836  0.004
O  0.673  0.588  0.752
O  0.716  0.110  0.280
O  0.824  0.915  0.742
O  0.862  0.433  0.295
O  0.995  0.746  0.274

=====

Simulated X-ray diffraction stick pattern
Compound: Li2SmCd2Hg2
Radiation: CuKα
Structure: a structure optimized by DFT (GGA-PBE)
Neutral-atom scattering factors, no anomalous dispersion.

Principal peaks in the range 15 to 90 degrees two-theta, by angle:
d (Å)	2θ/deg	Rel. int.
4.180	21.3	31.8
3.660	24.3	23.3
3.057	29.2	24.7
2.525	35.5	91.1
2.458	36.6	100.0
2.040	44.4	28.9
1.761	51.9	31.0
1.432	65.2	31.2

Structural model:
abc: 7.850 7.850 7.850
angles: 36.49 36.49 36.49
Fractional coordinates of all 7 atoms:
Li  0.145  0.145  0.145
Li  0.855  0.855  0.855
Sm  0.000  0.000  0.000
Cd  0.269  0.269  0.269
Cd  0.731  0.731  0.731
Hg  0.426  0.426  0.426
Hg  0.574  0.574  0.574

=====

Simulated X-ray diffraction stick pattern
Compound: PS8
Radiation: CuKα
Structure: a structure optimized by DFT (GGA-PBE)
Neutral-atom scattering factors, no anomalous dispersion.

Principal peaks in the range 15 to 90 degrees two-theta, by angle:
d (Å)	2θ/deg	Rel. int.
4.170	21.3	100.0
2.283	39.5	61.1
2.085	43.4	12.2
1.805	50.6	27.5
1.678	54.7	9.9
1.557	59.4	15.2
1.365	68.8	10.5
1.307	72.3	8.5

Structural model:
abc: 6.537 6.537 6.537
angles: 114.01 114.01 100.73
Fractional coordinates of all 9 atoms:
P  0.000  0.000  0.000
S  0.000  0.309  0.309
S  0.000  0.691  0.691
S  0.309  0.000  0.309
S  0.320  0.320  0.640
S  0.320  0.680  0.000
S  0.680  0.320  0.000
S  0.680  0.680  0.360
S  0.691  0.000  0.691

=====

Simulated X-ray diffraction stick pattern
Compound: Pr2Zn4AgPt3
Radiation: CuKα
Structure: a structure optimized by DFT (GGA-PBE)
Neutral-atom scattering factors, no anomalous dispersion.

Principal peaks in the range 15 to 90 degrees two-theta, by angle:
d (Å)	2θ/deg	Rel. int.
2.796	32.0	54.7
2.616	34.3	100.0
2.087	43.3	61.3
2.041	44.4	31.9
1.987	45.7	40.1
1.673	54.9	23.8
1.439	64.8	28.1
1.285	73.7	21.1

Structural model:
abc: 4.175 4.175 11.297
angles: 90.00 90.00 90.00
Fractional coordinates of all 10 atoms:
Pr  0.000  0.500  0.243
Pr  0.500  0.000  0.757
Zn  0.000  0.000  0.000
Zn  0.000  0.500  0.636
Zn  0.500  0.000  0.364
Zn  0.500  0.500  0.000
Ag  0.000  0.000  0.500
Pt  0.000  0.500  0.861
Pt  0.500  0.000  0.139
Pt  0.500  0.500  0.500